No. 1
Theoretical powder diffraction line list
Compound: MgZnCu2
Radiation: Cu Kα, 1.54184 Å
Structure: a crystal structure in OQMD, relaxed with GGA-PBE
Peak positions follow from Bragg's law for the DFT cell and can differ from measured ones.

Cell and atoms:
```
data_MgZnCu2
_chemical_formula_sum 'Mg4 Zn4 Cu8'
_cell_length_a 6.0680
_cell_length_b 6.0680
_cell_length_c 6.0680
_cell_angle_alpha 90.00
_cell_angle_beta 90.00
_cell_angle_gamma 90.00
_space_group_name_H-M_alt 'P m -3 m'
_space_group_IT_number 221
_space_group_name_Hall '-P 4 2 3'
loop_
_atom_site_label
_atom_site_type_symbol
_atom_site_fract_x
_atom_site_fract_y
_atom_site_fract_z
_atom_site_occupancy
Mg1 Mg 0.0000 0.0000 0.0000 1
Mg2 Mg 0.0000 0.0000 0.5000 1
Zn1 Zn 0.0000 0.5000 0.5000 1
Zn2 Zn 0.5000 0.5000 0.5000 1
Cu1 Cu 0.2610 0.2610 0.2610 1
```

Peak list (6 most intense, 2θ = 5–70°, in order of rising 2θ)
| d_spacing | Position (°2θ) | I (rel.) |
| --- | --- | --- |
| 6.068 | 14.60 | 13.3 |
| 3.034 | 29.44 | 4.0 |
| 2.145 | 42.12 | 100.0 |
| 2.023 | 44.81 | 3.2 |
| 1.683 | 54.53 | 4.3 |
| 1.517 | 61.09 | 15.1 |

***

No. 2
Theoretical powder diffraction line list
Compound: Cu7Ag3
Radiation: Cu Kα, 1.54184 Å
Structure: a crystal structure in OQMD, relaxed with GGA-PBE
Peak positions follow from Bragg's law for the DFT cell and can differ from measured ones.

Cell and atoms:
```
data_Cu7Ag3
_chemical_formula_sum 'Cu14 Ag6'
_cell_length_a 10.7958
_cell_length_b 2.7703
_cell_length_c 9.2227
_cell_angle_alpha 90.00
_cell_angle_beta 97.31
_cell_angle_gamma 90.00
_space_group_name_H-M_alt 'C 1 m 1'
_space_group_IT_number 8
_space_group_name_Hall 'C -2y'
loop_
_atom_site_label
_atom_site_type_symbol
_atom_site_fract_x
_atom_site_fract_y
_atom_site_fract_z
_atom_site_occupancy
Cu1 Cu 0.0000 0.0000 0.0000 1
Cu2 Cu 0.0033 0.5000 0.5390 1
Cu3 Cu 0.0871 0.5000 0.8101 1
Cu4 Cu 0.1158 0.0000 0.3713 1
Cu5 Cu 0.2010 0.0000 0.6333 1
Cu6 Cu 0.3093 0.5000 0.4472 1
Cu7 Cu 0.3980 0.5000 0.7175 1
Ag1 Ag 0.1859 0.5000 0.1496 1
Ag2 Ag 0.2912 0.0000 0.9225 1
Ag3 Ag 0.4203 0.0000 0.2337 1
```

Peak list (6 most intense, 2θ = 5–70°, in order of rising 2θ)
| d_spacing | Position (°2θ) | I (rel.) |
| --- | --- | --- |
| 2.284 | 39.46 | 12.9 |
| 2.207 | 40.89 | 45.3 |
| 2.192 | 41.18 | 44.8 |
| 2.167 | 41.68 | 100.0 |
| 1.983 | 45.76 | 68.0 |
| 1.739 | 52.62 | 21.2 |

***

No. 3
Theoretical powder diffraction line list
Compound: Nd2Ho2CI2Br3
Radiation: Cu Kα, 1.54184 Å
Structure: a crystal structure in OQMD, relaxed with GGA-PBE
Peak positions follow from Bragg's law for the DFT cell and can differ from measured ones.

Cell and atoms:
```
data_Nd2Ho2CI2Br3
_chemical_formula_sum 'Nd4 Ho4 C2 I4 Br6'
_cell_length_a 18.5363
_cell_length_b 3.9520
_cell_length_c 8.4876
_cell_angle_alpha 90.00
_cell_angle_beta 101.50
_cell_angle_gamma 90.00
_space_group_name_H-M_alt 'C 1 2/m 1'
_space_group_IT_number 12
_space_group_name_Hall '-C 2y'
loop_
_atom_site_label
_atom_site_type_symbol
_atom_site_fract_x
_atom_site_fract_y
_atom_site_fract_z
_atom_site_occupancy
Nd1 Nd 0.0029 0.0000 0.2960 1
Ho1 Ho 0.1318 0.5000 0.5629 1
C1 C 0.0000 0.5000 0.5000 1
I1 I 0.1702 0.0000 0.8390 1
Br1 Br 0.0000 0.5000 0.0000 1
Br2 Br 0.1715 0.0000 0.3468 1
```

Peak list (6 most intense, 2θ = 5–70°, in order of rising 2θ)
| d_spacing | Position (°2θ) | I (rel.) |
| --- | --- | --- |
| 8.317 | 10.64 | 38.1 |
| 3.027 | 29.51 | 37.3 |
| 2.966 | 30.13 | 25.2 |
| 2.892 | 30.93 | 100.0 |
| 2.675 | 33.50 | 28.3 |
| 2.070 | 43.73 | 24.4 |

***

No. 4
Theoretical powder diffraction line list
Compound: NdGdBi4Au2
Radiation: Cu Kα, 1.54184 Å
Structure: a crystal structure in OQMD, relaxed with GGA-PBE
Peak positions follow from Bragg's law for the DFT cell and can differ from measured ones.

Cell and atoms:
```
data_NdGdBi4Au2
_chemical_formula_sum 'Nd1 Gd1 Bi4 Au2'
_cell_length_a 4.6389
_cell_length_b 4.6389
_cell_length_c 10.0154
_cell_angle_alpha 90.00
_cell_angle_beta 90.00
_cell_angle_gamma 90.00
_space_group_name_H-M_alt 'P 4 m m'
_space_group_IT_number 99
_space_group_name_Hall 'P 4 -2'
loop_
_atom_site_label
_atom_site_type_symbol
_atom_site_fract_x
_atom_site_fract_y
_atom_site_fract_z
_atom_site_occupancy
Nd1 Nd 0.0000 0.0000 0.0000 1
Gd1 Gd 0.5000 0.5000 0.4673 1
Bi1 Bi 0.0000 0.0000 0.4324 1
Bi2 Bi 0.0000 0.5000 0.7319 1
Bi3 Bi 0.5000 0.5000 0.0448 1
Au1 Au 0.0000 0.5000 0.2408 1
```

Peak list (6 most intense, 2θ = 5–70°, in order of rising 2θ)
| d_spacing | Position (°2θ) | I (rel.) |
| --- | --- | --- |
| 2.744 | 32.63 | 100.0 |
| 2.504 | 35.86 | 12.7 |
| 2.319 | 38.83 | 36.5 |
| 1.702 | 53.88 | 16.1 |
| 1.640 | 56.07 | 12.7 |
| 1.408 | 66.41 | 26.7 |

***

No. 5
Theoretical powder diffraction line list
Compound: Ag4GeO4
Radiation: Cu Kα, 1.54184 Å
Structure: a crystal structure in OQMD, relaxed with GGA-PBE
Peak positions follow from Bragg's law for the DFT cell and can differ from measured ones.

Cell and atoms:
```
data_Ag4GeO4
_chemical_formula_sum 'Ag16 Ge4 O16'
_cell_length_a 6.4267
_cell_length_b 8.5233
_cell_length_c 10.0984
_cell_angle_alpha 106.85
_cell_angle_beta 92.73
_cell_angle_gamma 95.67
_space_group_name_H-M_alt 'P -1'
_space_group_IT_number 2
_space_group_name_Hall '-P 1'
loop_
_atom_site_label
_atom_site_type_symbol
_atom_site_fract_x
_atom_site_fract_y
_atom_site_fract_z
_atom_site_occupancy
Ag1 Ag 0.0216 0.0226 0.2476 1
Ag2 Ag 0.0508 0.4210 0.8611 1
Ag3 Ag 0.0977 0.3677 0.3737 1
Ag4 Ag 0.2268 0.8238 0.9213 1
Ag5 Ag 0.3252 0.1767 0.5199 1
Ag6 Ag 0.4091 0.6027 0.6708 1
Ag7 Ag 0.4306 0.6485 0.1578 1
Ag8 Ag 0.4722 0.9640 0.7424 1
Ge1 Ge 0.1937 0.7689 0.4389 1
Ge2 Ge 0.2784 0.2488 0.0584 1
O1 O 0.0576 0.3505 0.5861 1
O2 O 0.0800 0.3554 0.1539 1
O3 O 0.2103 0.9510 0.5847 1
O4 O 0.2230 0.2164 0.8792 1
O5 O 0.2437 0.8300 0.2893 1
O6 O 0.2838 0.0594 0.1000 1
O7 O 0.3825 0.6364 0.4651 1
O8 O 0.4762 0.6208 0.8914 1
```

Peak list (6 most intense, 2θ = 5–70°, in order of rising 2θ)
| d_spacing | Position (°2θ) | I (rel.) |
| --- | --- | --- |
| 2.762 | 32.42 | 61.3 |
| 2.726 | 32.85 | 100.0 |
| 2.645 | 33.89 | 58.4 |
| 2.522 | 35.60 | 51.1 |
| 2.373 | 37.92 | 43.3 |
| 2.192 | 41.19 | 32.0 |

***

No. 6
Theoretical powder diffraction line list
Compound: Hf2Cu2Ge3
Radiation: Cu Kα, 1.54184 Å
Structure: a crystal structure in OQMD, relaxed with GGA-PBE
Peak positions follow from Bragg's law for the DFT cell and can differ from measured ones.

Cell and atoms:
```
data_Hf2Cu2Ge3
_chemical_formula_sum 'Hf6 Cu6 Ge9'
_cell_length_a 4.1498
_cell_length_b 4.1498
_cell_length_c 25.2535
_cell_angle_alpha 90.00
_cell_angle_beta 90.00
_cell_angle_gamma 120.00
_space_group_name_H-M_alt 'R 3 m'
_space_group_IT_number 160
_space_group_name_Hall 'R 3 -2"'
loop_
_atom_site_label
_atom_site_type_symbol
_atom_site_fract_x
_atom_site_fract_y
_atom_site_fract_z
_atom_site_occupancy
Hf1 Hf 0.0000 0.0000 0.0000 1
Hf2 Hf 0.0000 0.0000 0.4922 1
Cu1 Cu 0.0000 0.0000 0.2439 1
Cu2 Cu 0.0000 0.0000 0.7466 1
Ge1 Ge 0.0000 0.0000 0.3894 1
Ge2 Ge 0.0000 0.0000 0.6124 1
Ge3 Ge 0.0000 0.0000 0.8647 1
```

Peak list (6 most intense, 2θ = 5–70°, in order of rising 2θ)
| d_spacing | Position (°2θ) | I (rel.) |
| --- | --- | --- |
| 3.457 | 25.77 | 35.7 |
| 3.123 | 28.58 | 35.1 |
| 2.372 | 37.94 | 100.0 |
| 2.075 | 43.62 | 77.3 |
| 1.562 | 59.16 | 26.9 |
| 1.445 | 64.48 | 14.1 |

***

No. 7
Theoretical powder diffraction line list
Compound: Sc2Al15Pt6
Radiation: Cu Kα, 1.54184 Å
Structure: a crystal structure in OQMD, relaxed with GGA-PBE
Peak positions follow from Bragg's law for the DFT cell and can differ from measured ones.

Cell and atoms:
```
data_Sc2Al15Pt6
_chemical_formula_sum 'Sc8 Al60 Pt24'
_cell_length_a 12.7952
_cell_length_b 7.3832
_cell_length_c 16.4352
_cell_angle_alpha 90.00
_cell_angle_beta 90.00
_cell_angle_gamma 90.00
_space_group_name_H-M_alt 'C m c m'
_space_group_IT_number 63
_space_group_name_Hall '-C 2c 2'
loop_
_atom_site_label
_atom_site_type_symbol
_atom_site_fract_x
_atom_site_fract_y
_atom_site_fract_z
_atom_site_occupancy
Sc1 Sc 0.1673 0.1663 0.2500 1
Al1 Al 0.0000 0.0033 0.6412 1
Al2 Al 0.0000 0.3323 0.5482 1
Al3 Al 0.0000 0.4552 0.2500 1
Al4 Al 0.1050 0.2291 0.7500 1
Al5 Al 0.1647 0.4985 0.6407 1
Al6 Al 0.1673 0.1661 0.0467 1
Pt1 Pt 0.0000 0.3249 0.1080 1
Pt2 Pt 0.1711 0.1626 0.6092 1
```

Peak list (6 most intense, 2θ = 5–70°, in order of rising 2θ)
| d_spacing | Position (°2θ) | I (rel.) |
| --- | --- | --- |
| 4.109 | 21.63 | 48.6 |
| 3.603 | 24.71 | 64.1 |
| 3.062 | 29.16 | 100.0 |
| 2.132 | 42.40 | 64.9 |
| 1.981 | 45.80 | 50.1 |
| 1.892 | 48.08 | 43.0 |

***

No. 8
Theoretical powder diffraction line list
Compound: ErTm2WC3
Radiation: Cu Kα, 1.54184 Å
Structure: a crystal structure in OQMD, relaxed with GGA-PBE
Peak positions follow from Bragg's law for the DFT cell and can differ from measured ones.

Cell and atoms:
```
data_ErTm2WC3
_chemical_formula_sum 'Er2 Tm4 W2 C6'
_cell_length_a 12.2238
_cell_length_b 3.2949
_cell_length_c 5.8567
_cell_angle_alpha 90.00
_cell_angle_beta 113.21
_cell_angle_gamma 90.00
_space_group_name_H-M_alt 'C 1 m 1'
_space_group_IT_number 8
_space_group_name_Hall 'C -2y'
loop_
_atom_site_label
_atom_site_type_symbol
_atom_site_fract_x
_atom_site_fract_y
_atom_site_fract_z
_atom_site_occupancy
Er1 Er 0.0000 0.0000 0.0000 1
Tm1 Tm 0.0202 0.5000 0.4929 1
Tm2 Tm 0.2607 0.0000 0.5413 1
W1 W 0.2359 0.5000 0.0219 1
C1 C 0.1329 0.0000 0.7722 1
C2 C 0.1501 0.5000 0.2596 1
C3 C 0.3554 0.0000 0.0415 1
```

Peak list (6 most intense, 2θ = 5–70°, in order of rising 2θ)
| d_spacing | Position (°2θ) | I (rel.) |
| --- | --- | --- |
| 2.869 | 31.18 | 64.7 |
| 2.809 | 31.86 | 83.9 |
| 2.691 | 33.29 | 83.4 |
| 2.603 | 34.45 | 98.1 |
| 2.509 | 35.79 | 100.0 |
| 2.496 | 35.99 | 63.1 |

***

No. 9
Theoretical powder diffraction line list
Compound: PrNdCuSi3
Radiation: Cu Kα, 1.54184 Å
Structure: a crystal structure in OQMD, relaxed with GGA-PBE
Peak positions follow from Bragg's law for the DFT cell and can differ from measured ones.

Cell and atoms:
```
data_PrNdCuSi3
_chemical_formula_sum 'Pr8 Nd8 Cu8 Si24'
_cell_length_a 8.1296
_cell_length_b 8.5622
_cell_length_c 14.0853
_cell_angle_alpha 90.00
_cell_angle_beta 90.00
_cell_angle_gamma 90.00
_space_group_name_H-M_alt 'F m m m'
_space_group_IT_number 69
_space_group_name_Hall '-F 2 2'
loop_
_atom_site_label
_atom_site_type_symbol
_atom_site_fract_x
_atom_site_fract_y
_atom_site_fract_z
_atom_site_occupancy
Pr1 Pr 0.2500 0.2500 0.2500 1
Nd1 Nd 0.0000 0.2433 0.0000 1
Cu1 Cu 0.0000 0.0000 0.3340 1
Si1 Si 0.0000 0.0000 0.1685 1
Si2 Si 0.2452 0.0000 0.4160 1
```

Peak list (6 most intense, 2θ = 5–70°, in order of rising 2θ)
| d_spacing | Position (°2θ) | I (rel.) |
| --- | --- | --- |
| 3.521 | 25.30 | 31.8 |
| 2.719 | 32.94 | 100.0 |
| 2.141 | 42.22 | 12.2 |
| 2.033 | 44.58 | 31.4 |
| 1.628 | 56.52 | 21.0 |
| 1.474 | 63.07 | 21.7 |

***

Repeat the ninth record exactly.
Theoretical powder diffraction line list
Compound: PrNdCuSi3
Radiation: Cu Kα, 1.54184 Å
Structure: a crystal structure in OQMD, relaxed with GGA-PBE
Peak positions follow from Bragg's law for the DFT cell and can differ from measured ones.

Cell and atoms:
```
data_PrNdCuSi3
_chemical_formula_sum 'Pr8 Nd8 Cu8 Si24'
_cell_length_a 8.1296
_cell_length_b 8.5622
_cell_length_c 14.0853
_cell_angle_alpha 90.00
_cell_angle_beta 90.00
_cell_angle_gamma 90.00
_space_group_name_H-M_alt 'F m m m'
_space_group_IT_number 69
_space_group_name_Hall '-F 2 2'
loop_
_atom_site_label
_atom_site_type_symbol
_atom_site_fract_x
_atom_site_fract_y
_atom_site_fract_z
_atom_site_occupancy
Pr1 Pr 0.2500 0.2500 0.2500 1
Nd1 Nd 0.0000 0.2433 0.0000 1
Cu1 Cu 0.0000 0.0000 0.3340 1
Si1 Si 0.0000 0.0000 0.1685 1
Si2 Si 0.2452 0.0000 0.4160 1
```

Peak list (6 most intense, 2θ = 5–70°, in order of rising 2θ)
| d_spacing | Position (°2θ) | I (rel.) |
| --- | --- | --- |
| 3.521 | 25.30 | 31.8 |
| 2.719 | 32.94 | 100.0 |
| 2.141 | 42.22 | 12.2 |
| 2.033 | 44.58 | 31.4 |
| 1.628 | 56.52 | 21.0 |
| 1.474 | 63.07 | 21.7 |